No. 1
For Ti2FeB2Ru3Rh2, the PBE geometry in the Materials Project gives the simulated PXRD pattern in this record (a wavelength of 1.5418 Å).
Intensities are scaled so that the largest is 100.

Most intense lines, 10 to 90 degrees two-theta, low angle first:
- hkl 0 1 0, 2θ = 30.14°, intensity 82.9
- hkl 2 1 -1, 2θ = 37.48°, intensity 92.1
- hkl 1 0 4, 2θ = 40.64°, intensity 73.5
- hkl 4 0 1, 2θ = 40.84°, intensity 71.2
- hkl 2 1 2, 2θ = 41.34°, intensity 52.9
- hkl 1 1 -3, 2θ = 43.70°, intensity 100.0
- hkl 3 1 -1, 2θ = 43.80°, intensity 97.9
- hkl 3 1 -2, 2θ = 47.17°, intensity 66.7

Structural model:
```
data_Ti2FeB2Ru3Rh2
_cell_length_a 9.108
_cell_length_b 2.965
_cell_length_c 9.157
_cell_angle_alpha 90.00
_cell_angle_beta 90.17
_cell_angle_gamma 90.00
_symmetry_space_group_name_H-M 'P 1 2/m 1'
_symmetry_Int_Tables_number 10
loop_
_symmetry_equiv_pos_as_xyz
'x,y,z'
'-x,-y,-z'
'-x,y,-z'
'x,-y,z'
loop_
_atom_site_label
_atom_site_fract_x
_atom_site_fract_y
_atom_site_fract_z
Ti1 0.176 0.000 0.182
Ti2 0.322 0.000 0.674
Fe1 0.000 0.000 0.500
Fe2 0.500 0.000 0.000
B1 0.124 0.000 0.873
B2 0.374 0.000 0.373
Ru1 0.073 0.500 0.713
Ru2 0.213 0.500 0.427
Ru3 0.428 0.500 0.212
Rh1 0.000 0.500 0.000
Rh2 0.285 0.500 0.927
Rh3 0.500 0.500 0.500
```

No. 2
For ZrSi, the PBE geometry in the Materials Project gives the simulated PXRD pattern in this record (a wavelength of 1.5418 Å).
Intensities are scaled so that the largest is 100.

Most intense lines, 10 to 90 degrees two-theta, low angle first:
- hkl 1 0 1, 2θ = 23.35°, intensity 59.9
- hkl 2 0 0, 2θ = 34.58°, intensity 78.5
- hkl 1 1 2, 2θ = 40.47°, intensity 100.0
- hkl 2 1 1, 2θ = 42.15°, intensity 25.3
- hkl 2 2 0, 2θ = 49.71°, intensity 27.1
- hkl 3 1 2, 2θ = 65.96°, intensity 45.3
- hkl 2 0 4, 2θ = 77.32°, intensity 14.2
- hkl 4 2 0, 2θ = 83.31°, intensity 11.8

Structural model:
```
data_ZrSi
_cell_length_a 5.187
_cell_length_b 5.187
_cell_length_c 5.612
_cell_angle_alpha 90.00
_cell_angle_beta 90.00
_cell_angle_gamma 90.00
_symmetry_space_group_name_H-M 'I 41/a m d'
_symmetry_Int_Tables_number 141
loop_
_symmetry_equiv_pos_as_xyz
'x,y,z'
'-x,-y,-z'
'-y+1/4,x+3/4,z+1/4'
'y+1/4,-x+3/4,-z+1/4'
'-x+1/2,-y,z+1/2'
'x+1/2,y,-z+1/2'
'y+1/4,-x+1/4,z+3/4'
'-y+1/4,x+1/4,-z+3/4'
'x,-y,-z'
'-x,y,z'
'-y+1/4,-x+1/4,-z+3/4'
'y+1/4,x+1/4,z+3/4'
'-x+1/2,y,-z+1/2'
'x+1/2,-y,z+1/2'
'y+1/4,x+3/4,-z+1/4'
'-y+1/4,-x+3/4,z+1/4'
'x+1/2,y+1/2,z+1/2'
'-x+1/2,-y+1/2,-z+1/2'
'-y+3/4,x+1/4,z+3/4'
'y+3/4,-x+1/4,-z+3/4'
'-x,-y+1/2,z'
'x,y+1/2,-z'
'y+3/4,-x+3/4,z+1/4'
'-y+3/4,x+3/4,-z+1/4'
'x+1/2,-y+1/2,-z+1/2'
'-x+1/2,y+1/2,z+1/2'
'-y+3/4,-x+3/4,-z+1/4'
'y+3/4,x+3/4,z+1/4'
'-x,y+1/2,-z'
'x,-y+1/2,z'
'y+3/4,x+1/4,-z+3/4'
'-y+3/4,-x+1/4,z+3/4'
loop_
_atom_site_label
_atom_site_fract_x
_atom_site_fract_y
_atom_site_fract_z
Zr1 0.000 0.250 0.375
Si1 0.000 0.250 0.875
```

No. 3
For TmZn, the PBE geometry in the Materials Project gives the simulated PXRD pattern in this record (a wavelength of 1.5418 Å).
Intensities are scaled so that the largest is 100.

Most intense lines, 10 to 90 degrees two-theta, low angle first:
- hkl 1 0 0, 2θ = 25.27°, intensity 19.9
- hkl 1 1 0, 2θ = 36.04°, intensity 100.0
- hkl 1 1 1, 2θ = 44.53°, intensity 6.1
- hkl 2 0 0, 2θ = 51.89°, intensity 17.5
- hkl 2 1 0, 2θ = 58.57°, intensity 8.4
- hkl 2 1 1, 2θ = 64.80°, intensity 35.6
- hkl 2 2 0, 2θ = 76.44°, intensity 11.0
- hkl 3 1 0, 2θ = 87.53°, intensity 15.8

Structural model:
```
data_TmZn
_cell_length_a 3.524
_cell_length_b 3.524
_cell_length_c 3.524
_cell_angle_alpha 90.00
_cell_angle_beta 90.00
_cell_angle_gamma 90.00
_symmetry_space_group_name_H-M 'P m -3 m'
_symmetry_Int_Tables_number 221
_symmetry_space_group_name_Hall '-P 4 2 3'
loop_
_atom_site_label
_atom_site_fract_x
_atom_site_fract_y
_atom_site_fract_z
Tm1 0.000 0.000 0.000
Zn1 0.500 0.500 0.500
```

No. 4
For LiCuS, the PBE geometry in the Materials Project gives the simulated PXRD pattern in this record (a wavelength of 1.5418 Å).
Intensities are scaled so that the largest is 100.

Most intense lines, 10 to 90 degrees two-theta, low angle first:
- hkl 0 1 0, 2θ = 21.68°, intensity 100.0
- hkl 0 1 1, 2θ = 26.09°, intensity 56.2
- hkl 1 0 1, 2θ = 27.41°, intensity 73.3
- hkl 1 1 1, 2θ = 35.21°, intensity 90.6
- hkl 0 1 2, 2θ = 36.43°, intensity 39.6
- hkl 1 1 2, 2θ = 43.66°, intensity 28.2
- hkl 1 0 3, 2θ = 50.34°, intensity 42.4
- hkl 2 1 0, 2θ = 52.77°, intensity 45.3

Structural model:
```
data_LiCuS
_cell_length_a 3.829
_cell_length_b 4.100
_cell_length_c 6.174
_cell_angle_alpha 90.00
_cell_angle_beta 90.00
_cell_angle_gamma 90.00
_symmetry_space_group_name_H-M 'P m n 21'
_symmetry_Int_Tables_number 31
loop_
_symmetry_equiv_pos_as_xyz
'x,y,z'
'-x+1/2,-y,z+1/2'
'-x,y,z'
'x+1/2,-y,z+1/2'
loop_
_atom_site_label
_atom_site_fract_x
_atom_site_fract_y
_atom_site_fract_z
Li1 0.000 0.023 0.000
Cu1 0.000 0.556 0.319
S1 0.000 0.307 0.642
```

No. 5
For MoWSe4, the PBE geometry in the Materials Project gives the simulated PXRD pattern in this record (a wavelength of 1.5418 Å).
Intensities are scaled so that the largest is 100.

Most intense lines, 10 to 90 degrees two-theta, low angle first:
- hkl 0 0 3, 2θ = 11.24°, intensity 100.0
- hkl 1 0 0, 2θ = 31.08°, intensity 23.1
- hkl 0 1 4, 2θ = 34.68°, intensity 15.8
- hkl 1 0 5, 2θ = 36.56°, intensity 53.8
- hkl 0 1 6, 2θ = 38.76°, intensity 22.1
- hkl 1 0 8, 2θ = 43.94°, intensity 41.9
- hkl 1 0 9, 2θ = 46.85°, intensity 17.5
- hkl 1 1 0, 2θ = 55.29°, intensity 16.8

Structural model:
```
data_MoWSe4
_cell_length_a 3.3229
_cell_length_b 3.3229
_cell_length_c 23.6193
_cell_angle_alpha 90.00
_cell_angle_beta 90.00
_cell_angle_gamma 120.00
_symmetry_space_group_name_H-M 'P 3 m 1'
_symmetry_Int_Tables_number 156
loop_
_symmetry_equiv_pos_as_xyz
'x,y,z'
'-y,x-y,z'
'-x+y,-x,z'
'-y,-x,z'
'-x+y,y,z'
'x,x-y,z'
loop_
_atom_site_label
_atom_site_fract_x
_atom_site_fract_y
_atom_site_fract_z
Mo1 0.0000 0.0000 0.0000
W1 0.6667 0.3333 0.6990
Se1 0.0000 0.0000 0.6277
Se2 0.0000 0.0000 0.7703
Se3 0.6667 0.3333 0.0710
Se4 0.6667 0.3333 0.9290
```